Entry 1:
This entry pairs a crystal structure of KRe2O4F7 with its computed powder diffractogram. Radiation: λ = 1.5418 Å (Cu Kα). Structure: a structure optimized by DFT (PBE).
Peak positions follow from Bragg's law for the DFT cell and can differ from measured ones.

Cell and atoms:
a = 5.6573 Å, b = 5.3296 Å, c = 16.0547 Å
α = 90.00°, β = 106.14°, γ = 90.00°
Space group P2/c (No. 13)
Symmetry-distinct sites (fractional):
K 0.0000 0.1969 0.2500
Re 0.3767 0.2549 0.6147
O 0.2568 0.3631 0.5115
O 0.3681 0.0897 0.8927
F 0.1309 0.3973 0.6663
F 0.1760 0.0337 0.1064
F 0.4452 0.4527 0.3389
F 0.5000 0.1293 0.7500

Principal peaks in the range 2θ = 10–90°, by intensity:
3.874 Å, intensity 100, hkl 1 1 -1
3.700 Å, intensity 57, hkl 0 1 3
5.037 Å, intensity 57, hkl 0 1 1
5.434 Å, intensity 40, hkl 1 0 0
3.856 Å, intensity 38, hkl 0 0 4
3.955 Å, intensity 33, hkl 1 0 2
3.661 Å, intensity 30, hkl 1 0 -4
5.170 Å, intensity 28, hkl 1 0 -2
2.665 Å, intensity 27, hkl 0 2 0
2.808 Å, intensity 23, hkl 1 1 3
1.937 Å, intensity 17, hkl 2 2 -2
2.820 Å, intensity 15, hkl 2 0 -2

Entry 2:
This entry pairs a crystal structure of K5RhO4F2 with its computed powder diffractogram. Radiation: λ = 1.5418 Å (Cu Kα). Structure: a structure optimized by DFT (PBE).
Peak positions follow from Bragg's law for the DFT cell and can differ from measured ones.

Cell and atoms:
a = 7.6687 Å, b = 10.0979 Å, c = 6.4003 Å
α = 90.00°, β = 90.00°, γ = 90.00°
Space group Amm2 (No. 38)
Symmetry-distinct sites (fractional):
K 0.0000 0.0000 0.0000
K 0.2599 0.1881 0.4970
Rh 0.5000 0.0000 0.0091
O 0.3051 0.0000 0.1848
O 0.5000 0.1461 0.8283
F 0.0000 0.2074 0.7605

Principal peaks in the range 2θ = 10–90°, by intensity:
3.128 Å, intensity 100, hkl 2 1 1
2.979 Å, intensity 91, hkl 0 3 1
2.209 Å, intensity 78, hkl 2 2 2
5.406 Å, intensity 51, hkl 0 1 1
3.054 Å, intensity 38, hkl 2 2 0
3.200 Å, intensity 30, hkl 0 0 2
7.669 Å, intensity 30, hkl 1 0 0
4.418 Å, intensity 29, hkl 1 1 1
1.721 Å, intensity 29, hkl 2 5 1
1.918 Å, intensity 23, hkl 4 0 0
1.612 Å, intensity 22, hkl 4 3 1
4.217 Å, intensity 21, hkl 1 2 0

Entry 3:
This entry pairs a crystal structure of K3SO4F with its computed powder diffractogram. Radiation: λ = 1.5418 Å (Cu Kα). Structure: a structure optimized by DFT (PBE).
Peak positions follow from Bragg's law for the DFT cell and can differ from measured ones.

Cell and atoms:
a = 5.4687 Å, b = 5.4687 Å, c = 5.4687 Å
α = 90.00°, β = 90.00°, γ = 90.00°
Space group P-43m (No. 215)
Symmetry-distinct sites (fractional):
K 0.0000 0.0000 0.5000
S 0.5000 0.5000 0.5000
O 0.3420 0.3420 0.6580
F 0.0000 0.0000 0.0000

Principal peaks in the range 2θ = 10–90°, by intensity:
3.157 Å, intensity 100, hkl 1 1 1
2.734 Å, intensity 47, hkl 2 0 0
1.933 Å, intensity 46, hkl 2 2 0
1.649 Å, intensity 22, hkl 3 1 1
1.223 Å, intensity 18, hkl 4 2 0
1.255 Å, intensity 16, hkl 3 3 1
1.579 Å, intensity 14, hkl 2 2 2
3.867 Å, intensity 13, hkl 1 1 0
1.116 Å, intensity 11, hkl 4 2 2
2.446 Å, intensity 11, hkl 2 1 0
1.823 Å, intensity 10, hkl 3 0 0
2.233 Å, intensity 8, hkl 2 1 1

Entry 4:
This entry pairs a crystal structure of K3SO4F with its computed powder diffractogram. Radiation: λ = 1.5418 Å (Cu Kα). Structure: a structure optimized by DFT (PBE).
Peak positions follow from Bragg's law for the DFT cell and can differ from measured ones.

Cell and atoms:
a = 7.3821 Å, b = 7.3821 Å, c = 11.0598 Å
α = 90.00°, β = 90.00°, γ = 90.00°
Space group I4/mcm (No. 140)
Symmetry-distinct sites (fractional):
K 0.0000 0.0000 0.2500
K 0.1917 0.3083 0.0000
S 0.0000 0.5000 0.2500
O 0.1163 0.3837 0.3291
F 0.0000 0.0000 0.0000

Principal peaks in the range 2θ = 10–90°, by intensity:
3.070 Å, intensity 100, hkl 2 0 2
2.459 Å, intensity 65, hkl 2 1 3
2.610 Å, intensity 43, hkl 2 2 0
1.898 Å, intensity 29, hkl 2 2 4
2.765 Å, intensity 29, hkl 0 0 4
2.334 Å, intensity 21, hkl 3 1 0
1.650 Å, intensity 17, hkl 2 0 6
1.767 Å, intensity 15, hkl 4 1 1
3.163 Å, intensity 13, hkl 2 1 1
1.535 Å, intensity 11, hkl 4 0 4
3.691 Å, intensity 10, hkl 2 0 0
2.013 Å, intensity 9, hkl 3 2 1

Entry 5:
This entry pairs a crystal structure of K2ScSi4O10F with its computed powder diffractogram. Radiation: λ = 1.5418 Å (Cu Kα). Structure: a structure optimized by DFT (PBE).
Peak positions follow from Bragg's law for the DFT cell and can differ from measured ones.

Cell and atoms:
a = 11.3357 Å, b = 11.3357 Å, c = 8.2846 Å
α = 90.00°, β = 90.00°, γ = 90.00°
Space group I4/m (No. 87)
Symmetry-distinct sites (fractional):
K 0.1823 0.1831 0.0000
Sc 0.0000 0.0000 0.2559
Si 0.0107 0.3136 0.3088
O 0.0010 0.8160 0.2363
O 0.0513 0.3179 0.5000
O 0.1143 0.3846 0.2070
F 0.0000 0.0000 0.0000
F 0.0000 0.0000 0.5000

Principal peaks in the range 2θ = 10–90°, by intensity:
3.438 Å, intensity 100, hkl 3 0 1
3.344 Å, intensity 50, hkl 2 0 2
3.585 Å, intensity 43, hkl 1 3 0
2.672 Å, intensity 36, hkl 3 3 0
2.073 Å, intensity 35, hkl 0 0 4
4.142 Å, intensity 29, hkl 0 0 2
2.711 Å, intensity 27, hkl 3 1 2
2.880 Å, intensity 27, hkl 2 2 2
1.889 Å, intensity 27, hkl 6 0 0
1.517 Å, intensity 26, hkl 3 0 5
5.668 Å, intensity 22, hkl 2 0 0
1.674 Å, intensity 15, hkl 2 5 3

Entry 6:
This entry pairs a crystal structure of KSeO3F with its computed powder diffractogram. Radiation: λ = 1.5418 Å (Cu Kα). Structure: a structure optimized by DFT (PBE).
Peak positions follow from Bragg's law for the DFT cell and can differ from measured ones.

Cell and atoms:
a = 5.2312 Å, b = 18.3857 Å, c = 5.0375 Å
α = 90.00°, β = 90.20°, γ = 90.00°
Space group C2/c (No. 15)
Symmetry-distinct sites (fractional):
K 0.0000 0.2307 0.2500
Se 0.0000 0.0346 0.7500
O 0.0000 0.1233 0.7500
O 0.2160 0.0190 0.0631
F 0.0000 0.2698 0.7500

Principal peaks in the range 2θ = 10–90°, by intensity:
5.031 Å, intensity 100, hkl 1 1 0
4.596 Å, intensity 58, hkl 0 4 0
3.123 Å, intensity 39, hkl 1 3 -1
3.395 Å, intensity 27, hkl 0 4 1
2.249 Å, intensity 15, hkl 1 1 2
2.519 Å, intensity 15, hkl 0 0 2
2.616 Å, intensity 15, hkl 2 0 0
1.633 Å, intensity 15, hkl 2 8 -1
3.979 Å, intensity 14, hkl 1 3 0
2.128 Å, intensity 14, hkl 1 7 -1
2.091 Å, intensity 13, hkl 0 8 1
1.811 Å, intensity 9, hkl 2 0 2